NaCaVO4: computed PXRD pattern (Cu Ka), based on a DFT-relaxed cell (GGA+U, Alexandria).
Intensities are scaled so that the largest is 100.

Crystal structure
Lattice parameters (Å, degrees): 5.967 9.417 7.202 90.00 90.00 90.00
Space group Cmcm (No. 63)
Asymmetric unit:
Na1 0.000 0.179 0.250 (multiplicity 4)
Ca1 0.000 0.500 0.000 (multiplicity 4)
V1 0.000 0.148 0.750 (multiplicity 4)
O1 0.000 0.255 0.556 (multiplicity 8)
O2 0.240 0.037 0.750 (multiplicity 8)

Peak list (6 most intense, 2θ from 10° to 80°, in order of rising 2θ)
hkl, 2θ/deg, d/Å, Rel. int.
1 1 1, 21.5, 4.130, 34
0 2 1, 22.6, 3.941, 30
2 0 0, 29.9, 2.984, 49
1 1 2, 30.5, 2.930, 100
1 3 0, 32.2, 2.778, 69
2 4 2, 55.9, 1.644, 35